Calculated XRD peak list of KZrAu3S4 for Cu Kα, 1.54184 Å, from a structure optimized by DFT (GGA-PBE).
Intensities are scaled so that the largest is 100.

The 8 most intense peaks (2θ from 15° to 90°), sorted by position:
2θ (°)	Rel. int.	h k l
24.8	100	1 1 1
28.7	60	2 0 0
32.2	27	2 1 0
41.0	93	2 2 0
48.6	50	3 1 1
65.4	20	3 3 1
67.3	24	4 2 0
74.8	30	4 2 2

Structural model:
a = 6.2191 Å, b = 6.2191 Å, c = 6.2191 Å
α = 90.00°, β = 90.00°, γ = 90.00°
Space group P-43m (No. 215)
Symmetry-distinct sites (fractional):
K 0.0000 0.0000 0.0000 x1
Zr 0.5000 0.5000 0.5000 x1
Au 0.0000 0.5000 0.5000 x3
S 0.2744 0.2744 0.2744 x4